(1)
Structure and computed X-ray powder pattern of LaSmCo2Si2 (a structure optimized by DFT (PBE); λ = 1.5418 Å (Cu Kα)).
Peak positions follow from Bragg's law for the DFT cell and can differ from measured ones.

Largest 12 diffraction maxima, in order of rising 2θ, 2θ from 5° to 70°:
3.495 Å, rel. 100; 2.848 Å, rel. 31; 2.650 Å, rel. 71; 2.640 Å, rel. 47; 2.346 Å, rel. 22; 2.214 Å, rel. 78; 2.014 Å, rel. 52; 1.745 Å, rel. 32; 1.612 Å, rel. 27; 1.603 Å, rel. 31; 1.528 Å, rel. 22; 1.424 Å, rel. 17

Structure:
abc: 4.027 4.027 7.037
angles: 90.00 90.00 90.00
Sites, in units of the cell vectors:
La (0.000, 0.000, 0.000)
Sm (0.500, 0.500, 0.370)
Co (0.000, 0.500, 0.675)
Co (0.500, 0.000, 0.675)
Si (0.000, 0.000, 0.506)
Si (0.500, 0.500, 0.841)

(2)
Structure and computed X-ray powder pattern of LaSmTlCo2 (a structure optimized by DFT (PBE); λ = 1.5418 Å (Cu Kα)).
Peak positions follow from Bragg's law for the DFT cell and can differ from measured ones.

Largest 12 diffraction maxima, in order of rising 2θ, 2θ from 5° to 70°:
3.023 Å, rel. 47; 2.748 Å, rel. 100; 2.677 Å, rel. 77; 2.392 Å, rel. 10; 2.312 Å, rel. 32; 2.010 Å, rel. 22; 1.951 Å, rel. 20; 1.674 Å, rel. 17; 1.654 Å, rel. 17; 1.576 Å, rel. 31; 1.517 Å, rel. 17; 1.400 Å, rel. 13

Structure:
abc: 4.020 7.435 7.435
angles: 30.42 90.00 90.00
Sites, in units of the cell vectors:
La (0.000, 0.000, 0.000)
Sm (0.000, 0.725, 0.725)
Tl (0.500, 0.359, 0.359)
Co (0.500, 0.154, 0.154)
Co (0.500, 0.573, 0.573)

(3)
Structure and computed X-ray powder pattern of La3Co4Sn13 (a structure optimized by DFT (PBE); λ = 1.5418 Å (Cu Kα)).
Peak positions follow from Bragg's law for the DFT cell and can differ from measured ones.

Largest 12 diffraction maxima, in order of rising 2θ, 2θ from 5° to 70°:
2.686 Å, rel. 100; 2.588 Å, rel. 36; 2.421 Å, rel. 18; 2.349 Å, rel. 13; 2.283 Å, rel. 7; 1.977 Å, rel. 13; 1.661 Å, rel. 14; 1.571 Å, rel. 18; 1.512 Å, rel. 8; 1.460 Å, rel. 9; 1.428 Å, rel. 7; 1.383 Å, rel. 11

Structure:
abc: 9.684 9.684 9.684
angles: 90.00 90.00 90.00
Sites, in units of the cell vectors:
La (0.000, 0.250, 0.500)
La (0.000, 0.750, 0.500)
La (0.250, 0.500, 0.000)
La (0.500, 0.000, 0.250)
La (0.500, 0.000, 0.750)
La (0.750, 0.500, 0.000)
Co (0.250, 0.250, 0.250)
Co (0.250, 0.250, 0.750)
Co (0.250, 0.750, 0.250)
Co (0.250, 0.750, 0.750)
Co (0.750, 0.250, 0.250)
Co (0.750, 0.250, 0.750)
Co (0.750, 0.750, 0.250)
Co (0.750, 0.750, 0.750)
Sn (0.000, 0.000, 0.000)
Sn (0.000, 0.302, 0.157)
Sn (0.000, 0.302, 0.843)
Sn (0.000, 0.698, 0.157)
Sn (0.000, 0.698, 0.843)
Sn (0.157, 0.000, 0.302)
Sn (0.157, 0.000, 0.698)
Sn (0.198, 0.500, 0.343)
Sn (0.198, 0.500, 0.657)
Sn (0.302, 0.157, 0.000)
Sn (0.302, 0.843, 0.000)
Sn (0.343, 0.198, 0.500)
Sn (0.343, 0.802, 0.500)
Sn (0.500, 0.343, 0.198)
Sn (0.500, 0.343, 0.802)
Sn (0.500, 0.500, 0.500)
Sn (0.500, 0.657, 0.198)
Sn (0.500, 0.657, 0.802)
Sn (0.657, 0.198, 0.500)
Sn (0.657, 0.802, 0.500)
Sn (0.698, 0.157, 0.000)
Sn (0.698, 0.843, 0.000)
Sn (0.802, 0.500, 0.343)
Sn (0.802, 0.500, 0.657)
Sn (0.843, 0.000, 0.302)
Sn (0.843, 0.000, 0.698)

(4)
Structure and computed X-ray powder pattern of LaTbCo2Sn4 (a structure optimized by DFT (PBE); λ = 1.5418 Å (Cu Kα)).
Peak positions follow from Bragg's law for the DFT cell and can differ from measured ones.

Largest 12 diffraction maxima, in order of rising 2θ, 2θ from 5° to 70°:
3.031 Å, rel. 7; 2.813 Å, rel. 100; 2.518 Å, rel. 22; 2.261 Å, rel. 22; 2.228 Å, rel. 21; 1.840 Å, rel. 10; 1.764 Å, rel. 8; 1.669 Å, rel. 13; 1.587 Å, rel. 15; 1.427 Å, rel. 9; 1.390 Å, rel. 10; 1.375 Å, rel. 12

Structure:
abc: 4.522 9.362 9.362
angles: 27.54 90.00 90.00
Sites, in units of the cell vectors:
La (0.000, 0.000, 0.000)
Tb (0.500, 0.222, 0.222)
Co (0.000, 0.792, 0.792)
Co (0.500, 0.429, 0.429)
Sn (0.000, 0.360, 0.360)
Sn (0.000, 0.659, 0.659)
Sn (0.500, 0.564, 0.564)
Sn (0.500, 0.858, 0.858)